(1)
For UTlAu, a DFT-relaxed cell (GGA-PBE, Alexandria) gives the calculated powder X-ray diffraction pattern in this record (Cu Kα (weighted mean of Kα1 and Kα2)).
Peak positions follow from Bragg's law for the DFT cell and can differ from measured ones.

The 12 most intense peaks (2θ = 5–70°), by angle:
10.80°, intensity 21; 30.35°, intensity 31; 31.94°, intensity 18; 33.17°, intensity 84; 36.67°, intensity 100; 36.80°, intensity 27; 37.43°, intensity 98; 41.22°, intensity 25; 52.91°, intensity 23; 61.04°, intensity 21; 62.59°, intensity 22; 63.85°, intensity 40

Structural model:
```
data_UTlAu
_chemical_formula_sum 'U4 Tl4 Au4'
_space_group_name_H-M_alt 'P 1'
_space_group_IT_number 1
_space_group_name_Hall 'P 1'
_cell_length_a 10.117
_cell_length_b 3.461
_cell_length_c 8.485
_cell_angle_alpha 90.00
_cell_angle_beta 105.04
_cell_angle_gamma 90.00
loop_
_atom_site_label
_atom_site_type_symbol
_atom_site_fract_x
_atom_site_fract_y
_atom_site_fract_z
U1 U 0.156 0.000 0.449
U2 U 0.344 0.500 0.551
U3 U 0.656 0.500 0.449
U4 U 0.844 0.000 0.551
Tl1 Tl 0.158 0.500 0.107
Tl2 Tl 0.342 0.000 0.893
Tl3 Tl 0.658 0.000 0.107
Tl4 Tl 0.842 0.500 0.893
Au1 Au 0.085 0.500 0.729
Au2 Au 0.415 0.000 0.271
Au3 Au 0.585 0.000 0.729
Au4 Au 0.915 0.500 0.271
```

(2)
For NdPaBi3, a DFT-relaxed cell (GGA-PBE, Alexandria) gives the calculated powder X-ray diffraction pattern in this record (Cu Kα (weighted mean of Kα1 and Kα2)).
Peak positions follow from Bragg's law for the DFT cell and can differ from measured ones.

The 12 most intense peaks (2θ = 5–70°), by angle:
26.62°, intensity 47; 29.87°, intensity 66; 30.15°, intensity 100; 30.58°, intensity 85; 31.19°, intensity 32; 32.96°, intensity 92; 33.19°, intensity 47; 35.80°, intensity 68; 36.39°, intensity 24; 39.07°, intensity 52; 50.40°, intensity 33; 65.01°, intensity 23

Structural model:
```
data_NdPaBi3
_chemical_formula_sum 'Nd4 Pa4 Bi12'
_space_group_name_H-M_alt 'P 1'
_space_group_IT_number 1
_space_group_name_Hall 'P 1'
_cell_length_a 14.618
_cell_length_b 6.484
_cell_length_c 6.557
_cell_angle_alpha 90.00
_cell_angle_beta 90.00
_cell_angle_gamma 90.00
loop_
_atom_site_label
_atom_site_type_symbol
_atom_site_fract_x
_atom_site_fract_y
_atom_site_fract_z
Nd1 Nd 0.174 0.023 0.250
Nd2 Nd 0.174 0.477 0.750
Nd3 Nd 0.826 0.523 0.250
Nd4 Nd 0.826 0.977 0.750
Pa1 Pa 0.404 0.750 0.000
Pa2 Pa 0.404 0.750 0.500
Pa3 Pa 0.596 0.250 0.000
Pa4 Pa 0.596 0.250 0.500
Bi1 Bi 0.004 0.750 0.000
Bi2 Bi 0.004 0.750 0.500
Bi3 Bi 0.236 0.524 0.250
Bi4 Bi 0.236 0.976 0.750
Bi5 Bi 0.407 0.187 0.250
Bi6 Bi 0.407 0.313 0.750
Bi7 Bi 0.593 0.687 0.250
Bi8 Bi 0.593 0.813 0.750
Bi9 Bi 0.764 0.024 0.250
Bi10 Bi 0.764 0.476 0.750
Bi11 Bi 0.996 0.250 0.000
Bi12 Bi 0.996 0.250 0.500
```

(3)
For KRb14Au, a DFT-relaxed cell (GGA-PBE, Alexandria) gives the calculated powder X-ray diffraction pattern in this record (Cu Kα (weighted mean of Kα1 and Kα2)).
Peak positions follow from Bragg's law for the DFT cell and can differ from measured ones.

The 12 most intense peaks (2θ = 5–70°), by angle:
6.44°, intensity 15; 9.15°, intensity 15; 11.22°, intensity 24; 19.47°, intensity 18; 22.52°, intensity 100; 22.65°, intensity 13; 25.99°, intensity 19; 26.86°, intensity 20; 28.43°, intensity 12; 29.86°, intensity 12; 30.01°, intensity 12; 39.42°, intensity 12

Structural model:
```
data_KRb14Au
_chemical_formula_sum 'K1 Rb14 Au1'
_space_group_name_H-M_alt 'P 1'
_space_group_IT_number 1
_space_group_name_Hall 'P 1'
_cell_length_a 13.720
_cell_length_b 9.961
_cell_length_c 9.961
_cell_angle_alpha 75.96
_cell_angle_beta 90.00
_cell_angle_gamma 90.00
loop_
_atom_site_label
_atom_site_type_symbol
_atom_site_fract_x
_atom_site_fract_y
_atom_site_fract_z
K1 K 0.000 0.000 0.000
Rb1 Rb 0.000 0.008 0.479
Rb2 Rb 0.000 0.479 0.008
Rb3 Rb 0.180 0.326 0.684
Rb4 Rb 0.180 0.684 0.326
Rb5 Rb 0.214 0.773 0.773
Rb6 Rb 0.268 0.205 0.205
Rb7 Rb 0.500 0.443 0.443
Rb8 Rb 0.500 0.495 0.915
Rb9 Rb 0.500 0.915 0.495
Rb10 Rb 0.500 0.972 0.972
Rb11 Rb 0.732 0.205 0.205
Rb12 Rb 0.786 0.773 0.773
Rb13 Rb 0.820 0.326 0.684
Rb14 Rb 0.820 0.684 0.326
Au1 Au 0.000 0.628 0.628
```

(4)
For Er3Tm3Pt2, a DFT-relaxed cell (GGA-PBE, Alexandria) gives the calculated powder X-ray diffraction pattern in this record (Cu Kα (weighted mean of Kα1 and Kα2)).
Peak positions follow from Bragg's law for the DFT cell and can differ from measured ones.

The 12 most intense peaks (2θ = 5–70°), by angle:
13.57°, intensity 36; 14.42°, intensity 31; 26.69°, intensity 18; 29.44°, intensity 33; 31.58°, intensity 68; 34.95°, intensity 84; 35.11°, intensity 100; 37.00°, intensity 77; 40.34°, intensity 21; 42.25°, intensity 29; 48.78°, intensity 41; 62.76°, intensity 34

Structural model:
```
data_Er3Tm3Pt2
_chemical_formula_sum 'Er6 Tm6 Pt4'
_space_group_name_H-M_alt 'P 1'
_space_group_IT_number 1
_space_group_name_Hall 'P 1'
_cell_length_a 6.787
_cell_length_b 6.787
_cell_length_c 18.202
_cell_angle_alpha 90.00
_cell_angle_beta 90.00
_cell_angle_gamma 148.06
loop_
_atom_site_label
_atom_site_type_symbol
_atom_site_fract_x
_atom_site_fract_y
_atom_site_fract_z
Er1 Er 0.058 0.942 0.586
Er2 Er 0.058 0.942 0.914
Er3 Er 0.282 0.718 0.750
Er4 Er 0.718 0.282 0.250
Er5 Er 0.942 0.058 0.086
Er6 Er 0.942 0.058 0.414
Tm1 Tm 0.329 0.671 0.557
Tm2 Tm 0.329 0.671 0.943
Tm3 Tm 0.441 0.559 0.250
Tm4 Tm 0.559 0.441 0.750
Tm5 Tm 0.671 0.329 0.057
Tm6 Tm 0.671 0.329 0.443
Pt1 Pt 0.292 0.708 0.135
Pt2 Pt 0.292 0.708 0.365
Pt3 Pt 0.708 0.292 0.635
Pt4 Pt 0.708 0.292 0.865
```